The following is a computed powder diffractogram of FeCoPdF6. It was derived from DFT lattice parameters and positions (GGA+U), using Cu Kα.
Kinematic intensities with the Lorentz-polarization factor, no thermal factor.

Largest 10 diffraction maxima, in order of rising 2θ, 10° ≤ 2θ ≤ 90°:
26.57 deg, I 100
33.68 deg, I 27
38.51 deg, I 12
43.40 deg, I 24
50.70 deg, I 43
56.03 deg, I 23
60.22 deg, I 25
70.79 deg, I 9
77.11 deg, I 9
82.53 deg, I 9

```
data_FeCoPdF6
_chemical_formula_sum 'Fe2 Co2 Pd2 F12'
_symmetry_space_group_name_H-M 'P -3 1 c'
_symmetry_Int_Tables_number 163
_symmetry_space_group_name_Hall '-P 3 2c'
_cell_length_a 5.3227
_cell_length_b 5.3227
_cell_length_c 9.7823
_cell_angle_alpha 90.00
_cell_angle_beta 90.00
_cell_angle_gamma 120.00
loop_
_atom_site_label
_atom_site_fract_x
_atom_site_fract_y
_atom_site_fract_z
_atom_site_occupancy
Fe1 0.3333 0.6667 0.2500 1
Co1 0.3333 0.6667 0.7500 1
Pd1 0.0000 0.0000 0.0000 1
F1 0.0136 0.3620 0.1401 1
```